# 1
For ZnH2Au2, a GGA-PBE-relaxed structure gives the theoretical powder X-ray diffraction pattern in this record (copper Kα).
Intensities are scaled so that the largest is 1000.

Most intense lines, 2θ from 10° to 90°, most intense first:
- 41.42 deg, intensity 1000, hkl 2 0 1
- 29.18 deg, intensity 791, hkl 2 1 0
- 26.04 deg, intensity 661, hkl 2 0 0
- 43.57 deg, intensity 531, hkl 2 1 1
- 37.16 deg, intensity 483, hkl 2 2 0
- 65.17 deg, intensity 438, hkl 4 1 1
- 55.36 deg, intensity 353, hkl 4 1 0
- 31.63 deg, intensity 341, hkl 0 0 1
- 41.74 deg, intensity 178, hkl 3 1 0
- 66.76 deg, intensity 166, hkl 3 3 1
- 49.58 deg, intensity 142, hkl 2 2 1
- 82.13 deg, intensity 136, hkl 5 3 0

```
data_ZnH2Au2
_space_group_name_H-M_alt 'P 4/m b m'
_space_group_IT_number 127
_space_group_name_Hall '-P 4 2ab'
_cell_length_a 6.843
_cell_length_b 6.843
_cell_length_c 2.829
_cell_angle_alpha 90.00
_cell_angle_beta 90.00
_cell_angle_gamma 90.00
loop_
_atom_site_label
_atom_site_fract_x
_atom_site_fract_y
_atom_site_fract_z
Zn1 0.000 0.000 0.000
H1 0.092 0.408 0.000
Au1 0.201 0.299 0.500
```

# 2
For SmTlTe2O8, a GGA-PBE-relaxed structure gives the theoretical powder X-ray diffraction pattern in this record (copper Kα).
Intensities are scaled so that the largest is 1000.

Most intense lines, 2θ from 10° to 90°, most intense first:
- 28.12 deg, intensity 1000, hkl 1 0 2
- 29.41 deg, intensity 809, hkl 1 1 0
- 20.24 deg, intensity 695, hkl 1 0 1
- 41.14 deg, intensity 455, hkl 0 2 2
- 16.85 deg, intensity 417, hkl 1 0 0
- 51.38 deg, intensity 385, hkl 2 1 2
- 55.20 deg, intensity 287, hkl 1 1 4
- 68.50 deg, intensity 168, hkl 4 -3 2
- 52.17 deg, intensity 166, hkl 3 0 0
- 45.62 deg, intensity 154, hkl 0 0 4
- 61.02 deg, intensity 140, hkl 2 2 0
- 47.12 deg, intensity 137, hkl 2 1 1

```
data_SmTlTe2O8
_space_group_name_H-M_alt 'P -3'
_space_group_IT_number 147
_cell_length_a 6.0740
_cell_length_b 6.0740
_cell_length_c 7.9558
_cell_angle_alpha 90.00
_cell_angle_beta 90.00
_cell_angle_gamma 120.00
loop_
_space_group_symop_operation_xyz
'x,y,z'
'-x,-y,-z'
'-y,x-y,z'
'y,-x+y,-z'
'-x+y,-x,z'
'x-y,x,-z'
loop_
_atom_site_label
_atom_site_fract_x
_atom_site_fract_y
_atom_site_fract_z
Sm1 0.0000 0.0000 0.0000
Tl1 0.0000 0.0000 0.5000
Te1 0.3333 0.6667 0.2668
O1 0.1528 0.3401 0.1828
O2 0.3333 0.6667 0.4954
```

# 3
For GaHF, a GGA-PBE-relaxed structure gives the theoretical powder X-ray diffraction pattern in this record (copper Kα).
Intensities are scaled so that the largest is 1000.

Most intense lines, 2θ from 10° to 90°, most intense first:
- 26.24 deg, intensity 1000, hkl 1 1 0
- 14.67 deg, intensity 314, hkl 2 0 0
- 29.58 deg, intensity 300, hkl 4 0 0
- 35.63 deg, intensity 259, hkl 1 1 1
- 35.99 deg, intensity 255, hkl 3 1 -1
- 21.66 deg, intensity 249, hkl 2 0 -1
- 41.07 deg, intensity 234, hkl 2 0 -2
- 45.46 deg, intensity 225, hkl 5 1 0
- 21.37 deg, intensity 222, hkl 0 0 1
- 49.26 deg, intensity 180, hkl 1 1 -2
- 56.97 deg, intensity 178, hkl 6 0 1
- 29.79 deg, intensity 153, hkl 2 0 1

```
data_GaHF
_space_group_name_H-M_alt 'C 1 2/m 1'
_space_group_IT_number 12
_cell_length_a 12.773
_cell_length_b 3.538
_cell_length_c 4.396
_cell_angle_alpha 90.00
_cell_angle_beta 108.96
_cell_angle_gamma 90.00
loop_
_space_group_symop_operation_xyz
'x,y,z'
'-x,-y,-z'
'-x,y,-z'
'x,-y,z'
'x+1/2,y+1/2,z'
'-x+1/2,-y+1/2,-z'
'-x+1/2,y+1/2,-z'
'x+1/2,-y+1/2,z'
loop_
_atom_site_label
_atom_site_fract_x
_atom_site_fract_y
_atom_site_fract_z
Ga1 0.109 0.000 0.354
H1 0.137 0.500 0.380
F1 0.059 0.000 0.806
```

# 4
For Rb2Na3RhF12, a GGA-PBE-relaxed structure gives the theoretical powder X-ray diffraction pattern in this record (copper Kα).
Intensities are scaled so that the largest is 1000.

Most intense lines, 2θ from 10° to 90°, most intense first:
- 27.01 deg, intensity 1000, hkl 1 1 3
- 25.92 deg, intensity 932, hkl 0 1 5
- 16.11 deg, intensity 549, hkl 0 1 2
- 23.48 deg, intensity 517, hkl 1 1 0
- 45.36 deg, intensity 481, hkl 2 0 8
- 48.03 deg, intensity 389, hkl 2 2 0
- 28.61 deg, intensity 388, hkl 2 0 2
- 42.80 deg, intensity 303, hkl 1 2 5
- 55.38 deg, intensity 293, hkl 3 1 5
- 43.51 deg, intensity 277, hkl 3 0 3
- 32.56 deg, intensity 176, hkl 0 2 4
- 35.26 deg, intensity 155, hkl 2 0 5

```
data_Rb2Na3RhF12
_space_group_name_H-M_alt 'R -3 m'
_space_group_IT_number 166
_space_group_name_Hall '-R 3 2"'
_cell_length_a 7.5775
_cell_length_b 7.5775
_cell_length_c 20.1723
_cell_angle_alpha 90.00
_cell_angle_beta 90.00
_cell_angle_gamma 120.00
loop_
_atom_site_label
_atom_site_fract_x
_atom_site_fract_y
_atom_site_fract_z
Rb1 0.0000 0.0000 0.1118
Na1 0.0000 0.5000 0.0000
Rh1 0.0000 0.0000 0.5000
F1 0.0298 0.5149 0.3747
F2 0.0932 0.5466 0.1135
```

# 5
For Dy3Mg2Tc, a GGA-PBE-relaxed structure gives the theoretical powder X-ray diffraction pattern in this record (copper Kα).
Intensities are scaled so that the largest is 1000.

Most intense lines, 2θ from 10° to 90°, most intense first:
- 33.85 deg, intensity 1000, hkl 1 3 2
- 11.10 deg, intensity 374, hkl 0 0 1
- 25.12 deg, intensity 338, hkl 1 3 0
- 35.61 deg, intensity 265, hkl 2 0 0
- 42.53 deg, intensity 240, hkl 1 3 3
- 36.04 deg, intensity 240, hkl 0 6 0
- 51.57 deg, intensity 172, hkl 2 6 0
- 62.84 deg, intensity 166, hkl 3 3 2
- 22.31 deg, intensity 159, hkl 0 0 2
- 63.41 deg, intensity 143, hkl 1 9 2
- 57.87 deg, intensity 79, hkl 0 0 5
- 64.05 deg, intensity 65, hkl 1 3 5

```
data_Dy3Mg2Tc
_space_group_name_H-M_alt 'C m m m'
_space_group_IT_number 65
_space_group_name_Hall '-C 2 2'
_cell_length_a 5.042
_cell_length_b 14.951
_cell_length_c 7.970
_cell_angle_alpha 90.00
_cell_angle_beta 90.00
_cell_angle_gamma 90.00
loop_
_atom_site_label
_atom_site_fract_x
_atom_site_fract_y
_atom_site_fract_z
Dy1 0.000 0.000 0.218
Dy2 0.000 0.325 0.209
Mg1 0.000 0.165 0.500
Mg2 0.000 0.500 0.000
Mg3 0.000 0.500 0.500
Tc1 0.000 0.160 0.000
```

# 6
For NaGeBi2, a GGA-PBE-relaxed structure gives the theoretical powder X-ray diffraction pattern in this record (copper Kα).
Intensities are scaled so that the largest is 1000.

Most intense lines, 2θ from 10° to 90°, most intense first:
- 32.72 deg, intensity 1000, hkl 1 1 1
- 36.30 deg, intensity 380, hkl 2 0 0
- 25.45 deg, intensity 344, hkl 1 1 0
- 63.06 deg, intensity 311, hkl 3 1 1
- 20.21 deg, intensity 294, hkl 0 0 1
- 55.97 deg, intensity 222, hkl 2 0 2
- 41.90 deg, intensity 194, hkl 2 0 1
- 52.28 deg, intensity 136, hkl 2 2 0
- 41.09 deg, intensity 135, hkl 0 0 2
- 48.96 deg, intensity 126, hkl 1 1 2
- 68.56 deg, intensity 122, hkl 2 2 2
- 69.59 deg, intensity 117, hkl 1 1 3

```
data_NaGeBi2
_space_group_name_H-M_alt 'P 4/m m m'
_space_group_IT_number 123
_space_group_name_Hall '-P 4 2'
_cell_length_a 4.949
_cell_length_b 4.949
_cell_length_c 4.393
_cell_angle_alpha 90.00
_cell_angle_beta 90.00
_cell_angle_gamma 90.00
loop_
_atom_site_label
_atom_site_fract_x
_atom_site_fract_y
_atom_site_fract_z
Na1 0.000 0.000 0.000
Ge1 0.500 0.500 0.000
Bi1 0.000 0.500 0.500
```